Starting from DFT lattice parameters and positions (GGA-PBE), the X-ray powder pattern of Th2PtRh4 was computed for Cu Kα, 1.54184 Å.
No peak broadening, texture or thermal motion is included.

Main lines, most intense first (2θ from 10° to 80°):
- hkl 3 1 1, d 2.723, rel. 100
- hkl 3 1 3, d 2.134, rel. 55
- hkl 0 0 4, d 2.429, rel. 52
- hkl 0 2 2, d 2.395, rel. 43
- hkl 6 2 2, d 1.362, rel. 24
- hkl 0 2 0, d 2.753, rel. 22
- hkl 3 3 1, d 1.584, rel. 22
- hkl 4 0 2, d 2.211, rel. 21
- hkl 3 1 5, d 1.603, rel. 20
- hkl 2 2 1, d 2.337, rel. 19

Structural model:
```
data_Th2PtRh4
_chemical_formula_sum 'Th8 Pt4 Rh16'
_cell_length_a 9.9323
_cell_length_b 5.5053
_cell_length_c 9.7146
_cell_angle_alpha 90.00
_cell_angle_beta 90.00
_cell_angle_gamma 90.00
_space_group_name_H-M_alt 'C m c e'
_space_group_IT_number 64
_space_group_name_Hall '-C 2ac 2'
loop_
_atom_site_label
_atom_site_type_symbol
_atom_site_fract_x
_atom_site_fract_y
_atom_site_fract_z
_atom_site_occupancy
Th1 Th 0.1571 0.0000 0.0000 1
Pt1 Pt 0.0000 0.0000 0.5000 1
Rh1 Rh 0.0000 0.1867 0.2375 1
Rh2 Rh 0.2500 0.0890 0.7500 1
```

---

Starting from DFT lattice parameters and positions (GGA-PBE), the X-ray powder pattern of PrZn3Rh3 was computed for Cu Kα, 1.54184 Å.
No peak broadening, texture or thermal motion is included.

Main lines, most intense first (2θ from 10° to 80°):
- hkl 2 1 1, d 2.735, rel. 100
- hkl 3 2 1, d 1.791, rel. 56
- hkl 2 0 0, d 3.350, rel. 43
- hkl 4 0 0, d 1.675, rel. 25
- hkl 2 2 2, d 1.934, rel. 18
- hkl 5 2 1, d 1.223, rel. 16
- hkl 4 2 0, d 1.498, rel. 15
- hkl 3 3 2, d 1.428, rel. 13
- hkl 2 1 0, d 2.996, rel. 6
- hkl 1 1 0, d 4.738, rel. 3

Structural model:
```
data_PrZn3Rh3
_chemical_formula_sum 'Pr2 Zn6 Rh6'
_cell_length_a 6.7002
_cell_length_b 6.7002
_cell_length_c 6.7002
_cell_angle_alpha 90.00
_cell_angle_beta 90.00
_cell_angle_gamma 90.00
_space_group_name_H-M_alt 'P m -3 n'
_space_group_IT_number 223
_space_group_name_Hall '-P 4n 2 3'
loop_
_atom_site_label
_atom_site_type_symbol
_atom_site_fract_x
_atom_site_fract_y
_atom_site_fract_z
_atom_site_occupancy
Pr1 Pr 0.0000 0.0000 0.0000 1
Zn1 Zn 0.0000 0.2500 0.5000 1
Rh1 Rh 0.0000 0.5000 0.2500 1
```

---

Starting from DFT lattice parameters and positions (GGA-PBE), the X-ray powder pattern of Ac2TbSn2 was computed for Cu Kα, 1.54184 Å.
No peak broadening, texture or thermal motion is included.

Main lines, most intense first (2θ from 10° to 80°):
- hkl 1 1 2, d 3.149, rel. 100
- hkl 1 2 1, d 2.740, rel. 56
- hkl 1 2 5, d 1.665, rel. 33
- hkl 0 1 3, d 3.076, rel. 29
- hkl 2 0 0, d 2.422, rel. 27
- hkl 0 2 2, d 2.899, rel. 23
- hkl 1 0 3, d 2.795, rel. 21
- hkl 0 3 3, d 1.932, rel. 16
- hkl 2 1 3, d 1.903, rel. 15
- hkl 1 1 0, d 3.988, rel. 15

Structural model:
```
data_Ac2TbSn2
_chemical_formula_sum 'Ac4 Tb2 Sn4'
_cell_length_a 4.8446
_cell_length_b 7.0246
_cell_length_c 10.2659
_cell_angle_alpha 90.00
_cell_angle_beta 90.00
_cell_angle_gamma 90.00
_space_group_name_H-M_alt 'I m m m'
_space_group_IT_number 71
_space_group_name_Hall '-I 2 2'
loop_
_atom_site_label
_atom_site_type_symbol
_atom_site_fract_x
_atom_site_fract_y
_atom_site_fract_z
_atom_site_occupancy
Ac1 Ac 0.0000 0.0000 0.2029 1
Tb1 Tb 0.0000 0.5000 0.0000 1
Sn1 Sn 0.0000 0.2814 0.5000 1
```

---

Starting from DFT lattice parameters and positions (GGA-PBE), the X-ray powder pattern of Tb3AlCo was computed for Cu Kα, 1.54184 Å.
No peak broadening, texture or thermal motion is included.

Main lines, most intense first (2θ from 10° to 80°):
- hkl 1 1 2, d 2.775, rel. 100
- hkl 3 1 0, d 2.679, rel. 76
- hkl 3 1 -2, d 2.797, rel. 73
- hkl 0 2 0, d 3.177, rel. 66
- hkl 0 2 2, d 2.457, rel. 54
- hkl 2 2 -2, d 2.466, rel. 38
- hkl 3 3 0, d 1.721, rel. 33
- hkl 0 0 1, d 7.764, rel. 30
- hkl 4 2 2, d 1.454, rel. 30
- hkl 2 0 -4, d 2.169, rel. 26

Structural model:
```
data_Tb3AlCo
_chemical_formula_sum 'Tb12 Al4 Co4'
_cell_length_a 9.9041
_cell_length_b 6.3534
_cell_length_c 8.6777
_cell_angle_alpha 90.00
_cell_angle_beta 116.52
_cell_angle_gamma 90.00
_space_group_name_H-M_alt 'C 1 2/m 1'
_space_group_IT_number 12
_space_group_name_Hall '-C 2y'
loop_
_atom_site_label
_atom_site_type_symbol
_atom_site_fract_x
_atom_site_fract_y
_atom_site_fract_z
_atom_site_occupancy
Tb1 Tb 0.0269 0.0000 0.2292 1
Tb2 Tb 0.1852 0.5000 0.8722 1
Tb3 Tb 0.2008 0.5000 0.3223 1
Al1 Al 0.0000 0.2958 0.5000 1
Co1 Co 0.0000 0.3083 0.0000 1
```